(1)
Diffraction record for CaBi2Au6. The powder X-ray diffraction pattern is simulated, not measured: it uses the PBE geometry in the Materials Project and Cu Kα (λ = 1.5418 Å).
Kinematic intensities with the Lorentz-polarization factor, no thermal factor.

Most intense lines, 10 to 80 degrees two-theta, most intense first:
- 36.9 deg, rel. 100, hkl 1 1 3
- 38.6 deg, rel. 50, hkl 2 0 2
- 59.5 deg, rel. 34, hkl 0 3 3
- 36.8 deg, rel. 34, hkl 0 1 5
- 65.1 deg, rel. 20, hkl 2 0 8
- 65.5 deg, rel. 20, hkl 2 2 0
- 19.0 deg, rel. 18, hkl 1 0 1
- 38.4 deg, rel. 17, hkl 0 0 6
- 78.5 deg, rel. 13, hkl 2 2 6
- 31.2 deg, rel. 13, hkl 1 0 4

Crystal structure
```
CaBi2Au6
1.0
5.7027 0.0000 0.0000
-2.8513 4.9387 0.0000
0.0000 0.0000 14.0713
Ca Bi Au
2 4 12
Cartesian
0.0000 0.0000 0.0000
0.0000 3.2925 9.4314
0.0000 0.0000 10.5843
0.0000 3.2925 5.8426
2.8513 1.6462 1.3048
2.8513 1.6462 4.7593
0.0000 0.0000 5.3254
-1.4248 2.4698 12.3794
0.0000 1.6403 2.9491
-1.4308 4.1185 2.9491
1.4255 0.8230 7.6778
0.0000 3.2925 0.6207
0.0000 4.9377 12.3794
1.4248 2.4698 12.3794
2.8513 1.6462 10.0035
1.4308 4.1185 2.9491
4.2772 0.8230 7.6778
2.8513 3.2926 7.6778
```

***

(2)
Diffraction record for Lu5Rh3. The powder X-ray diffraction pattern is simulated, not measured: it uses the PBE geometry in the Materials Project and Cu Kα (λ = 1.5418 Å).
Kinematic intensities with the Lorentz-polarization factor, no thermal factor.

Most intense lines, 10 to 80 degrees two-theta, most intense first:
- 36.9 deg, rel. 100, hkl 2 1 1
- 36.6 deg, rel. 93, hkl 1 1 2
- 38.5 deg, rel. 45, hkl 3 0 0
- 33.8 deg, rel. 36, hkl 2 1 0
- 56.7 deg, rel. 29, hkl 2 1 3
- 31.7 deg, rel. 25, hkl 1 0 2
- 54.2 deg, rel. 21, hkl 2 2 2
- 60.7 deg, rel. 20, hkl 4 0 2
- 29.0 deg, rel. 16, hkl 0 0 2
- 73.6 deg, rel. 13, hkl 3 0 4

Crystal structure
```
Lu5Rh3
1.0
8.1101 0.0000 0.0000
-4.0551 7.0236 0.0000
0.0000 0.0000 6.1582
Lu Rh
10 6
Cartesian
-1.0134 1.7553 1.5396
-3.0416 5.2683 4.6187
2.0268 0.0000 1.5396
1.0134 1.7553 4.6187
0.0000 4.6824 0.0000
0.0000 4.6824 3.0791
4.0551 2.3412 0.0000
4.0551 2.3412 3.0791
6.0833 0.0000 4.6187
3.0416 5.2683 1.5396
-1.6214 2.8083 4.6187
-2.4337 4.2152 1.5396
3.2428 0.0000 4.6187
1.6214 2.8083 1.5396
4.8673 0.0000 1.5396
2.4337 4.2152 4.6187
```